[1]
NaPH6C2N4O4: computed PXRD pattern (Cu Kα, 1.54184 Å), based on the GGA-PBE geometry in the Materials Project.

Peak list (6 most intense, 10 to 90 degrees two-theta, in order of rising 2θ)
- d 5.519, I = 36
- d 4.638, I = 100
- d 4.608, I = 24
- d 3.545, I = 32
- d 3.416, I = 51
- d 3.381, I = 52

Structure:
```
NaPH6C2N4O4
1.0
4.4762 -6.0496 0.0000
4.4762 6.0496 0.0000
-1.5463 0.0000 7.1138
Na P H C N O
2 2 12 4 8 8
direct
0.0000 0.0000 0.0000
0.0000 0.0000 0.5000
0.2496 0.7504 0.7500
0.7504 0.2496 0.2500
0.1238 0.4326 0.5969
0.2351 0.6180 0.0721
0.2387 0.4030 0.1441
0.3820 0.7649 0.4279
0.4030 0.2387 0.6441
0.4326 0.1238 0.0969
0.5674 0.8762 0.9031
0.5970 0.7613 0.3559
0.6180 0.2351 0.5721
0.7613 0.5970 0.8559
0.7649 0.3820 0.9279
0.8762 0.5674 0.4031
0.1942 0.3973 0.8616
0.3973 0.1942 0.3616
0.6027 0.8058 0.6384
0.8058 0.6027 0.1384
0.1801 0.5099 0.7279
0.2436 0.4847 0.0429
0.4847 0.2436 0.5429
0.4901 0.8199 0.7721
0.5099 0.1801 0.2279
0.5153 0.7564 0.4571
0.7564 0.5153 0.9571
0.8199 0.4901 0.2721
0.1649 0.2231 0.8132
0.1683 0.7869 0.5640
0.2131 0.8317 0.9360
0.2231 0.1649 0.3132
0.7769 0.8351 0.6868
0.7869 0.1683 0.0640
0.8317 0.2131 0.4360
0.8351 0.7769 0.1868
```

[2]
CdP2O10: computed PXRD pattern (Cu Kα, 1.54184 Å), based on the GGA-PBE geometry in the Materials Project.

Peak list (6 most intense, 10 to 90 degrees two-theta, in order of rising 2θ)
- d 5.363, I = 79
- d 4.061, I = 98
- d 3.802, I = 100
- d 2.975, I = 28
- d 2.684, I = 94
- d 1.899, I = 39

Structure:
```
CdP2O10
1.0
12.3860 0.0000 0.0000
-6.1930 10.7266 0.0000
0.0000 0.0000 5.3895
Cd P O
3 6 30
direct
0.0000 0.5000 0.0000
0.5000 0.0000 0.0000
0.5000 0.5000 0.0000
0.1860 0.6424 0.5096
0.3576 0.5436 0.5096
0.4564 0.8140 0.5096
0.5436 0.1860 0.4904
0.6424 0.4564 0.4904
0.8140 0.3576 0.4904
0.0433 0.2457 0.3306
0.0687 0.3027 0.1322
0.0881 0.6247 0.3249
0.1583 0.6419 0.7816
0.2024 0.9567 0.3306
0.2278 0.5400 0.4472
0.2340 0.9313 0.1322
0.2457 0.2024 0.6694
0.3027 0.2340 0.8678
0.3121 0.7722 0.4472
0.3581 0.5164 0.7816
0.3753 0.4634 0.3249
0.4600 0.6879 0.4472
0.4634 0.0881 0.6751
0.4836 0.8417 0.7816
0.5164 0.1583 0.2184
0.5366 0.9119 0.3249
0.5400 0.3121 0.5528
0.6247 0.5366 0.6751
0.6419 0.4836 0.2184
0.6879 0.2278 0.5528
0.6973 0.7660 0.1322
0.7543 0.7976 0.3306
0.7660 0.0687 0.8678
0.7722 0.4600 0.5528
0.7976 0.0433 0.6694
0.8417 0.3581 0.2184
0.9119 0.3753 0.6751
0.9313 0.6973 0.8678
0.9567 0.7543 0.6694
```